(1)
For YAl7Pd5, a DFT-relaxed cell (PBE, Alexandria) gives the simulated powder X-ray diffraction pattern in this record (Cu Ka).

Top 10 peaks for 10 to 90 degrees two-theta, by angle:
2θ 20.44, intensity 92.4
2θ 28.43, intensity 53.7
2θ 38.69, intensity 100.0
2θ 39.18, intensity 56.7
2θ 39.68, intensity 49.0
2θ 39.92, intensity 37.7
2θ 41.58, intensity 47.2
2θ 44.15, intensity 98.1
2θ 45.04, intensity 33.2
2θ 58.09, intensity 38.3

Cell and atoms:
```
13
Lattice="-2.7101 4.5425 4.3443 2.7101 -4.5425 4.3443 2.7101 4.5425 -4.3443" Properties=species:S:1:pos:R:3 pbc="T T T"
Y 0.0000 0.0000 0.0000
Al 2.7101 1.8996 -0.0738
Al 2.7101 0.0000 2.0132
Al 0.0000 0.0000 3.1001
Al 0.0000 3.1645 0.1399
Al 0.0000 0.0000 5.7199
Al 0.0000 5.9205 0.1399
Al 0.0000 2.6429 4.2705
Pd 1.3630 -2.1058 2.1572
Pd 4.0572 -2.1058 2.1572
Pd 1.3630 2.1058 2.1572
Pd 4.0572 2.1058 2.1572
Pd 0.0000 4.5425 2.4427
```

(2)
For TlTeClO4, a DFT-relaxed cell (PBE, Alexandria) gives the simulated powder X-ray diffraction pattern in this record (Cu Ka).

Top 10 peaks for 10 to 90 degrees two-theta, by angle:
2θ 16.27, intensity 86.3
2θ 18.14, intensity 89.6
2θ 22.21, intensity 65.7
2θ 24.12, intensity 100.0
2θ 27.72, intensity 46.0
2θ 30.10, intensity 35.8
2θ 30.35, intensity 32.0
2θ 32.42, intensity 51.2
2θ 33.02, intensity 32.8
2θ 48.00, intensity 41.8

Cell and atoms:
```
14
Lattice="4.9050 -3.6895 0.0000 4.9050 3.6895 0.0000 -4.3033 0.0000 8.0053" Properties=species:S:1:pos:R:3 pbc="T T T"
Tl 0.8126 0.0000 1.7302
Tl 4.6941 0.0000 6.2752
Te 0.7353 0.0000 5.5023
Te 4.7714 0.0000 2.5030
Cl -2.6312 0.0000 7.3592
Cl 8.1379 0.0000 0.6462
O 0.0293 1.4338 6.4187
O -0.0057 0.0000 3.7887
O 2.9380 0.0000 2.5907
O 5.4774 1.4338 1.5866
O 0.0293 -1.4338 6.4187
O 2.5687 0.0000 5.4146
O 5.5124 0.0000 4.2166
O 5.4774 -1.4338 1.5866
```

(3)
For PrNd4Tl3, a DFT-relaxed cell (PBE, Alexandria) gives the simulated powder X-ray diffraction pattern in this record (Cu Ka).

Top 10 peaks for 10 to 90 degrees two-theta, by angle:
2θ 30.52, intensity 25.1
2θ 32.02, intensity 100.0
2θ 32.11, intensity 25.8
2θ 44.89, intensity 17.5
2θ 46.92, intensity 9.1
2θ 55.20, intensity 15.7
2θ 57.02, intensity 8.7
2θ 57.19, intensity 19.4
2θ 58.00, intensity 9.7
2θ 66.96, intensity 10.7

Cell and atoms:
```
8
Lattice="12.0393 -1.9364 0.0000 12.0393 1.9364 0.0000 -1.2847 0.0000 5.4242" Properties=species:S:1:pos:R:3 pbc="T T T"
Pr 0.0000 0.0000 0.0000
Nd 2.1700 0.0000 3.3827
Nd 5.3372 0.0000 1.2710
Nd 17.4566 0.0000 4.1532
Nd 20.6239 0.0000 2.0415
Tl 8.0327 0.0000 4.7745
Tl 11.3969 0.0000 2.7121
Tl 14.7612 0.0000 0.6497
```

(4)
For AlTl3, a DFT-relaxed cell (PBE, Alexandria) gives the simulated powder X-ray diffraction pattern in this record (Cu Ka).

Top 10 peaks for 10 to 90 degrees two-theta, by angle:
2θ 20.62, intensity 22.4
2θ 32.29, intensity 100.0
2θ 37.19, intensity 34.4
2θ 37.98, intensity 16.2
2θ 53.60, intensity 12.2
2θ 54.20, intensity 23.6
2θ 63.97, intensity 28.8
2θ 65.04, intensity 14.8
2θ 67.57, intensity 12.3
2θ 89.12, intensity 13.3

Cell and atoms:
```
4
Lattice="-2.4179 2.4179 4.7382 2.4179 -2.4179 4.7382 2.4179 2.4179 -4.7382" Properties=species:S:1:pos:R:3 pbc="T T T"
Al 0.0000 0.0000 0.0000
Tl 2.4179 0.0000 2.3691
Tl 0.0000 0.0000 4.7382
Tl 0.0000 2.4179 2.3691
```

(5)
For Ce2Dy5Er2, a DFT-relaxed cell (PBE, Alexandria) gives the simulated powder X-ray diffraction pattern in this record (Cu Ka).

Top 10 peaks for 10 to 90 degrees two-theta, by angle:
2θ 31.21, intensity 17.3
2θ 31.69, intensity 80.5
2θ 31.97, intensity 100.0
2θ 32.18, intensity 43.7
2θ 45.30, intensity 15.6
2θ 45.98, intensity 19.4
2θ 56.64, intensity 22.2
2θ 57.08, intensity 19.8
2θ 57.25, intensity 14.1
2θ 66.21, intensity 7.6

Cell and atoms:
```
9
Lattice="8.2636 -2.7814 0.0000 8.2636 2.7814 0.0000 -2.4896 0.0000 6.1088" Properties=species:S:1:pos:R:3 pbc="T T T"
Ce 0.0607 0.0000 2.9737
Ce 13.9769 0.0000 3.1350
Dy 0.0000 0.0000 0.0000
Dy 3.2851 0.0000 0.3328
Dy 3.7011 0.0000 3.9576
Dy 10.3366 0.0000 2.1512
Dy 10.7526 0.0000 5.7760
Er 6.6746 0.0000 1.3639
Er 7.3631 0.0000 4.7449
```

(6)
For Sc2SbRu, a DFT-relaxed cell (PBE, Alexandria) gives the simulated powder X-ray diffraction pattern in this record (Cu Ka).

Top 10 peaks for 10 to 90 degrees two-theta, by angle:
2θ 16.71, intensity 27.6
2θ 26.28, intensity 36.8
2θ 27.14, intensity 56.7
2θ 34.03, intensity 100.0
2θ 39.65, intensity 65.0
2θ 40.93, intensity 42.6
2θ 41.90, intensity 92.7
2θ 49.80, intensity 21.6
2θ 50.47, intensity 19.8
2θ 68.17, intensity 24.7

Cell and atoms:
```
4
Lattice="4.4100 0.0000 0.0000 0.0000 1.7279 5.3053 0.0000 -1.7279 5.3053" Properties=species:S:1:pos:R:3 pbc="T T T"
Sc 0.0000 0.0000 0.0000
Sc 2.2050 0.0000 3.3464
Sb 0.0000 0.0000 7.6691
Ru 2.2050 0.0000 5.9391
```

(7)
For Ge5AsIr2, a DFT-relaxed cell (PBE, Alexandria) gives the simulated powder X-ray diffraction pattern in this record (Cu Ka).

Top 10 peaks for 10 to 90 degrees two-theta, by angle:
2θ 13.44, intensity 67.7
2θ 13.72, intensity 43.1
2θ 23.54, intensity 76.3
2θ 32.74, intensity 65.0
2θ 33.19, intensity 59.9
2θ 41.09, intensity 61.9
2θ 41.47, intensity 100.0
2θ 41.98, intensity 61.7
2θ 47.17, intensity 75.2
2θ 49.22, intensity 29.7

Cell and atoms:
```
8
Lattice="6.5945 -3.7025 0.0000 6.5945 3.7025 0.0000 -0.1042 0.0000 2.9960" Properties=species:S:1:pos:R:3 pbc="T T T"
Ge 0.0000 0.0000 0.0000
Ge 4.4133 1.5665 2.2845
Ge 8.6714 1.5665 0.7115
Ge 4.4133 -1.5665 2.2845
Ge 8.6714 -1.5665 0.7115
As 6.5945 0.0000 0.0000
Ir 2.2830 0.0000 2.2192
Ir 10.8017 0.0000 0.7768
```

(8)
For FeNi2Pd9, a DFT-relaxed cell (PBE, Alexandria) gives the simulated powder X-ray diffraction pattern in this record (Cu Ka).

Top 10 peaks for 10 to 90 degrees two-theta, by angle:
2θ 22.95, intensity 4.5
2θ 32.67, intensity 3.6
2θ 40.30, intensity 100.0
2θ 46.88, intensity 48.1
2θ 52.82, intensity 2.0
2θ 58.32, intensity 1.5
2θ 68.47, intensity 29.8
2θ 82.51, intensity 23.6
2θ 82.64, intensity 11.7
2θ 87.11, intensity 10.4

Cell and atoms:
```
12
Lattice="3.8782 0.0000 0.0000 0.0000 3.8782 0.0000 0.0000 0.0000 11.6135" Properties=species:S:1:pos:R:3 pbc="T T T"
Fe 0.0000 0.0000 0.0000
Ni 0.0000 0.0000 3.9063
Ni 0.0000 0.0000 7.7072
Pd 0.0000 1.9391 1.9325
Pd 0.0000 1.9391 5.8067
Pd 0.0000 1.9391 9.6810
Pd 1.9391 0.0000 1.9325
Pd 1.9391 0.0000 5.8067
Pd 1.9391 0.0000 9.6810
Pd 1.9391 1.9391 0.0000
Pd 1.9391 1.9391 3.8682
Pd 1.9391 1.9391 7.7453
```

(9)
For TbHo4Er, a DFT-relaxed cell (PBE, Alexandria) gives the simulated powder X-ray diffraction pattern in this record (Cu Ka).

Top 10 peaks for 10 to 90 degrees two-theta, by angle:
2θ 30.26, intensity 29.0
2θ 30.26, intensity 14.6
2θ 31.39, intensity 34.7
2θ 33.25, intensity 100.0
2θ 37.76, intensity 24.2
2θ 51.78, intensity 25.7
2θ 57.07, intensity 21.5
2θ 61.81, intensity 30.3
2θ 62.94, intensity 16.0
2θ 85.77, intensity 13.9

Cell and atoms:
```
12
Lattice="1.7659 -9.1725 0.0000 1.7659 9.1725 0.0000 0.0000 0.0000 11.3990" Properties=species:S:1:pos:R:3 pbc="T T T"
Tb 1.7659 6.1156 5.6995
Tb 1.7659 -6.1156 0.0000
Ho 1.7659 8.1553 8.5493
Ho 1.7659 6.1149 11.3920
Ho 1.7659 2.0412 8.5479
Ho 1.7659 -0.0064 0.0015
Ho 1.7659 0.0064 5.7010
Ho 1.7659 -2.0412 2.8483
Ho 1.7659 -6.1149 5.6924
Ho 1.7659 -8.1553 2.8497
Er 1.7659 4.0754 2.8452
Er 1.7659 -4.0754 8.5447
```

(10)
For CeSm14Pu, a DFT-relaxed cell (PBE, Alexandria) gives the simulated powder X-ray diffraction pattern in this record (Cu Ka).

Top 10 peaks for 10 to 90 degrees two-theta, by angle:
2θ 28.29, intensity 24.7
2θ 30.71, intensity 38.4
2θ 32.11, intensity 52.5
2θ 32.28, intensity 100.0
2θ 42.25, intensity 16.8
2θ 49.86, intensity 20.0
2θ 55.60, intensity 21.4
2θ 59.71, intensity 23.3
2θ 60.01, intensity 11.5
2θ 60.85, intensity 16.9

Cell and atoms:
```
16
Lattice="11.6444 0.0000 0.0000 0.0000 3.6344 6.3496 0.0000 -3.6344 6.3496" Properties=species:S:1:pos:R:3 pbc="T T T"
Ce 0.0000 0.0000 0.0000
Sm 0.0000 -1.8054 3.1585
Sm 0.0000 1.8054 3.1585
Sm 2.8704 -1.8145 5.2653
Sm 2.8812 0.0000 8.4032
Sm 2.8704 1.8145 5.2653
Sm 2.9102 0.0000 2.0650
Sm 5.8222 0.0000 6.3213
Sm 5.8222 -1.8168 9.4990
Sm 5.8222 1.8168 9.4990
Sm 5.8222 0.0000 12.6720
Sm 8.7342 0.0000 2.0650
Sm 8.7740 -1.8145 5.2653
Sm 8.7632 0.0000 8.4032
Sm 8.7740 1.8145 5.2653
Pu 0.0000 0.0000 6.3273
```

(11)
For Ac2Zn3Cd, a DFT-relaxed cell (PBE, Alexandria) gives the simulated powder X-ray diffraction pattern in this record (Cu Ka).

Top 10 peaks for 10 to 90 degrees two-theta, by angle:
2θ 27.19, intensity 27.1
2θ 30.60, intensity 100.0
2θ 33.04, intensity 38.2
2θ 35.05, intensity 17.0
2θ 37.23, intensity 24.1
2θ 44.14, intensity 14.9
2θ 44.58, intensity 16.1
2θ 56.23, intensity 16.9
2θ 59.09, intensity 13.8
2θ 59.44, intensity 13.7

Cell and atoms:
```
6
Lattice="-2.0516 2.4151 8.1889 2.0516 -2.4151 8.1889 2.0516 2.4151 -8.1889" Properties=species:S:1:pos:R:3 pbc="T T T"
Ac 0.0000 0.0000 0.0000
Ac 0.0000 2.4151 4.3556
Zn 2.0516 0.0000 2.8864
Zn 2.0516 0.0000 5.5039
Zn 0.0000 0.0000 6.9393
Cd 0.0000 0.0000 9.7284
```

(12)
For CsGdAu2, a DFT-relaxed cell (PBE, Alexandria) gives the simulated powder X-ray diffraction pattern in this record (Cu Ka).

Top 10 peaks for 10 to 90 degrees two-theta, by angle:
2θ 10.35, intensity 44.1
2θ 31.43, intensity 100.0
2θ 33.21, intensity 67.4
2θ 39.48, intensity 32.6
2θ 46.36, intensity 15.6
2θ 47.68, intensity 24.7
2θ 48.87, intensity 21.3
2θ 58.22, intensity 39.0
2θ 63.57, intensity 16.1
2θ 79.42, intensity 14.4

Cell and atoms:
```
4
Lattice="3.8150 0.0000 0.0000 0.0000 3.8150 0.0000 0.0000 0.0000 8.5452" Properties=species:S:1:pos:R:3 pbc="T T T"
Cs 0.0000 0.0000 0.0000
Gd 0.0000 0.0000 4.2726
Au 1.9075 1.9075 2.7848
Au 1.9075 1.9075 5.7603
```

(13)
For Tb12Tm2Tl, a DFT-relaxed cell (PBE, Alexandria) gives the simulated powder X-ray diffraction pattern in this record (Cu Ka).

Top 10 peaks for 10 to 90 degrees two-theta, by angle:
2θ 30.85, intensity 28.9
2θ 31.16, intensity 14.8
2θ 31.64, intensity 29.7
2θ 31.86, intensity 100.0
2θ 33.20, intensity 7.7
2θ 34.24, intensity 34.9
2θ 45.18, intensity 10.8
2θ 51.04, intensity 8.1
2θ 56.79, intensity 15.2
2θ 61.46, intensity 10.3

Cell and atoms:
```
15
Lattice="3.5791 0.0000 0.0000 0.0000 5.6142 0.0000 -0.2554 0.0000 23.6871" Properties=species:S:1:pos:R:3 pbc="T T T"
Tb 0.7392 0.0000 3.0272
Tb 0.7839 2.8071 4.6471
Tb 0.7670 2.8071 7.7122
Tb 0.7680 0.0000 9.9964
Tb 0.7685 2.8071 13.1894
Tb 0.7165 2.8071 22.0791
Tb 2.6072 2.8071 1.6080
Tb 2.5551 2.8071 10.4977
Tb 2.5557 0.0000 13.6907
Tb 2.5567 2.8071 15.9749
Tb 2.5398 2.8071 19.0400
Tb 2.5845 0.0000 20.6599
Tm 0.7685 0.0000 17.3725
Tm 2.5552 0.0000 6.3146
Tl 1.7895 0.0000 0.0000
```